This entry pairs a crystal structure of Hf3CoCN with its theoretical powder X-ray diffraction pattern. Radiation: Cu Kα. Structure: a GGA-PBE-relaxed structure.
Lines closer than 0.1° are merged.

Atomic structure:
a = 3.2160 Å, b = 3.2160 Å, c = 18.3172 Å
α = 90.00°, β = 90.00°, γ = 120.00°
Sites, in units of the cell vectors:
Hf: 0.0000 0.0000 0.0000
Hf: 0.0000 0.0000 0.5000
Hf: 0.3333 0.6667 0.1466
Hf: 0.3333 0.6667 0.3544
Hf: 0.6667 0.3333 0.6456
Hf: 0.6667 0.3333 0.8534
Co: 0.0000 0.0000 0.2463
Co: 0.0000 0.0000 0.7537
C: 0.3333 0.6667 0.5756
C: 0.6667 0.3333 0.4244
N: 0.3333 0.6667 0.9297
N: 0.6667 0.3333 0.0703

Most intense lines, 10 to 90 degrees two-theta, in order of rising 2θ:
- d = 3.053 Å, rel. 24.7
- d = 2.754 Å, rel. 52.5
- d = 2.665 Å, rel. 20.5
- d = 2.380 Å, rel. 100.0
- d = 2.217 Å, rel. 53.3
- d = 1.608 Å, rel. 36.0

---

This entry pairs a crystal structure of Hf2Ta4Co3C3 with its theoretical powder X-ray diffraction pattern. Radiation: Cu Kα. Structure: a GGA-PBE-relaxed structure.
Lines closer than 0.1° are merged.

Atomic structure:
a = 5.3714 Å, b = 5.3714 Å, c = 13.4513 Å
α = 101.82°, β = 101.82°, γ = 59.93°
Sites, in units of the cell vectors:
Hf: 0.0410 0.8756 0.6187
Hf: 0.1244 0.9590 0.8813
Hf: 0.8756 0.0410 0.1187
Hf: 0.9590 0.1244 0.3813
Ta: 0.1961 0.3617 0.0923
Ta: 0.2982 0.4737 0.4077
Ta: 0.3617 0.1961 0.5923
Ta: 0.4737 0.2982 0.9077
Ta: 0.5263 0.7018 0.0923
Ta: 0.6383 0.8039 0.4077
Ta: 0.7018 0.5263 0.5923
Ta: 0.8039 0.6383 0.9077
Co: 0.0856 0.3947 0.7502
Co: 0.3947 0.0856 0.2502
Co: 0.4312 0.5688 0.2500
Co: 0.5688 0.4312 0.7500
Co: 0.6053 0.9144 0.7498
Co: 0.9144 0.6053 0.2498
C: 0.0000 0.5000 0.5000
C: 0.1639 0.6721 0.0001
C: 0.3279 0.8361 0.4999
C: 0.5000 0.0000 0.0000
C: 0.6721 0.1639 0.5001
C: 0.8361 0.3279 0.9999

Most intense lines, 10 to 90 degrees two-theta, in order of rising 2θ:
- d = 3.268 Å, rel. 29.0
- d = 2.685 Å, rel. 34.2
- d = 2.630 Å, rel. 60.0
- d = 2.291 Å, rel. 50.9
- d = 2.283 Å, rel. 100.0
- d = 1.550 Å, rel. 29.0

---

This entry pairs a crystal structure of CoHgC4Se4N4 with its theoretical powder X-ray diffraction pattern. Radiation: Cu Kα. Structure: a GGA-PBE-relaxed structure.
Lines closer than 0.1° are merged.

Atomic structure:
a = 8.2710 Å, b = 8.2710 Å, c = 8.2710 Å
α = 94.47°, β = 94.47°, γ = 147.59°
Sites, in units of the cell vectors:
Co: 0.0000 0.0000 0.0000
Hg: 0.2500 0.7500 0.5000
C: 0.2879 0.5817 0.1397
C: 0.4183 0.5580 0.7063
C: 0.4420 0.1482 0.8603
C: 0.8518 0.7121 0.2937
Se: 0.0819 0.2996 0.5314
Se: 0.4494 0.9181 0.2177
Se: 0.7004 0.2318 0.7823
Se: 0.7682 0.5506 0.4686
N: 0.1839 0.3638 0.0853
N: 0.2785 0.0987 0.9147
N: 0.6362 0.7215 0.8202
N: 0.9013 0.8161 0.1798

Most intense lines, 10 to 90 degrees two-theta, in order of rising 2θ:
- d = 7.942 Å, rel. 76.5
- d = 5.616 Å, rel. 37.7
- d = 3.399 Å, rel. 100.0
- d = 2.908 Å, rel. 48.7
- d = 2.582 Å, rel. 27.4
- d = 1.935 Å, rel. 31.8